Structure and calculated powder diffractogram of K2Na2Mo3WO12 (a PBE+U-relaxed structure; Cu Kα (λ = 1.5418 Å)).
Neutral-atom scattering factors, no anomalous dispersion.

Principal peaks in the range 2θ = 10–90°, by intensity:
2θ/deg, Rel. int., index
31.77, 100.0, 2 0 2
22.16, 73.8, 2 0 0
31.54, 51.0, 2 2 0
45.21, 39.3, 4 0 0
56.31, 38.6, 4 2 2
22.47, 35.5, 0 0 2
66.38, 22.1, 4 0 4
56.74, 19.0, 2 2 4
45.88, 18.7, 0 0 4
50.90, 15.0, 4 2 0

```
K2Na2Mo3WO12
1.0
8.023 0.000 0.000
0.000 8.023 0.000
0.000 0.000 7.912
K Na Mo W O
4 4 6 2 24
direct
0.248 0.248 0.000
0.248 0.752 0.000
0.752 0.248 0.000
0.752 0.752 0.000
0.245 0.245 0.500
0.245 0.755 0.500
0.755 0.245 0.500
0.755 0.755 0.500
0.000 0.000 0.253
0.000 0.000 0.747
0.000 0.500 0.252
0.000 0.500 0.748
0.500 0.000 0.252
0.500 0.000 0.748
0.500 0.500 0.253
0.500 0.500 0.747
0.000 0.000 0.000
0.000 0.000 0.500
0.000 0.244 0.256
0.000 0.244 0.744
0.000 0.500 0.000
0.000 0.500 0.500
0.000 0.756 0.256
0.000 0.756 0.744
0.244 0.000 0.256
0.244 0.000 0.744
0.259 0.500 0.255
0.259 0.500 0.745
0.500 0.000 0.000
0.500 0.000 0.500
0.500 0.259 0.255
0.500 0.259 0.745
0.500 0.500 0.000
0.500 0.500 0.500
0.500 0.741 0.255
0.500 0.741 0.745
0.741 0.500 0.255
0.741 0.500 0.745
0.756 0.000 0.256
0.756 0.000 0.744
```